This entry pairs a crystal structure of SrAc5N6 with its theoretical powder XRD pattern. Radiation: Cu Kα X-rays. Structure: a structure optimized by DFT (GGA-PBE).

```
SrAc5N6
1.0
3.364 -5.815 0.000
3.364 5.815 0.000
-2.255 0.000 6.334
Sr Ac N
1 5 6
Direct
0.000 0.000 0.000 Sr
0.166 0.834 0.500 Ac
0.333 0.667 0.000 Ac
0.500 0.500 0.500 Ac
0.667 0.333 0.000 Ac
0.834 0.166 0.500 Ac
0.085 0.432 0.256 N
0.262 0.262 0.745 N
0.432 0.085 0.256 N
0.568 0.915 0.744 N
0.738 0.738 0.255 N
0.915 0.568 0.744 N
```

Principal peaks in the range 10 to 80 degrees two-theta, in order of falling intensity:
- 2θ 28.17, intensity 100
- 2θ 32.64, intensity 69
- 2θ 46.83, intensity 50
- 2θ 55.58, intensity 33
- 2θ 58.25, intensity 17
- 2θ 55.48, intensity 17
- 2θ 77.91, intensity 15
- 2θ 75.50, intensity 14

This entry pairs a crystal structure of SrAc3N4 with its theoretical powder XRD pattern. Radiation: Cu Kα X-rays. Structure: a structure optimized by DFT (GGA-PBE).

```
SrAc3N4
1.0
5.456 0.000 0.000
0.000 5.456 0.000
0.000 0.000 5.456
Sr Ac N
1 3 4
Direct
0.000 0.000 0.000 Sr
0.000 0.500 0.500 Ac
0.500 0.000 0.500 Ac
0.500 0.500 0.000 Ac
0.000 0.000 0.500 N
0.000 0.500 0.000 N
0.500 0.000 0.000 N
0.500 0.500 0.500 N
```

Principal peaks in the range 10 to 80 degrees two-theta, in order of falling intensity:
- 2θ 28.33, intensity 100
- 2θ 32.83, intensity 70
- 2θ 47.12, intensity 51
- 2θ 55.90, intensity 49
- 2θ 78.39, intensity 23
- 2θ 76.04, intensity 20
- 2θ 58.62, intensity 18
- 2θ 16.25, intensity 10